1.
# RbPmTe2Au
Computed X-ray diffraction stick pattern, Cu Kα, 1.54184 Å. Input: a structure optimized by DFT (GGA-PBE).
Neutral-atom scattering factors, no anomalous dispersion.

Atomic structure:
Lattice parameters (Å, degrees): 8.9170 4.9658 8.6119 90.00 97.92 90.00
Space group P2/c (No. 13)
Asymmetric unit:
Rb  0.0000  0.1595  0.2500
Pm  0.5000  0.4953  0.7500
Te  0.2576  0.3293  0.9675
Au  0.5000  0.0000  0.0000

Most intense lines, 2θ from 15° to 90°, in order of rising 2θ:
hkl 1 1 1, 2θ = 23.67°, I = 76.6
hkl 2 0 -2, 2θ = 27.01°, I = 50.3
hkl 1 1 -2, 2θ = 28.37°, I = 64.6
hkl 1 1 2, 2θ = 30.40°, I = 100.0
hkl 2 1 -2, 2θ = 32.55°, I = 63.5
hkl 2 1 2, 2θ = 36.10°, I = 55.0
hkl 1 2 0, 2θ = 37.63°, I = 37.5
hkl 3 1 -2, 2θ = 39.15°, I = 51.8
hkl 4 0 0, 2θ = 40.87°, I = 48.1
hkl 2 2 0, 2θ = 41.73°, I = 39.2

2.
# Pm4Rh3Au
Computed X-ray diffraction stick pattern, Cu Kα, 1.54184 Å. Input: a structure optimized by DFT (GGA-PBE).
Neutral-atom scattering factors, no anomalous dispersion.

Atomic structure:
Lattice parameters (Å, degrees): 3.8808 4.4745 10.8223 90.00 90.00 90.00
Space group Pmm2 (No. 25)
Asymmetric unit:
Pm  0.0000  0.0000  0.0000
Pm  0.0000  0.5000  0.2672
Pm  0.5000  0.0000  0.4806
Pm  0.5000  0.5000  0.7715
Rh  0.0000  0.5000  0.5421
Rh  0.5000  0.0000  0.2158
Rh  0.5000  0.5000  0.0377
Au  0.0000  0.0000  0.7100

Most intense lines, 2θ from 15° to 90°, in order of rising 2θ:
hkl 1 1 1, 2θ = 31.62°, I = 100.0
hkl 0 0 4, 2θ = 33.11°, I = 29.1
hkl 1 0 3, 2θ = 33.93°, I = 19.7
hkl 0 1 4, 2θ = 38.90°, I = 22.3
hkl 1 1 3, 2θ = 39.61°, I = 66.8
hkl 0 2 0, 2θ = 40.31°, I = 30.3
hkl 2 0 0, 2θ = 46.82°, I = 20.0
hkl 0 2 4, 2θ = 53.12°, I = 15.2
hkl 2 2 0, 2θ = 63.46°, I = 15.8
hkl 1 2 7, 2θ = 79.26°, I = 13.1

3.
# Pm8Rh5Au
Computed X-ray diffraction stick pattern, Cu Kα, 1.54184 Å. Input: a structure optimized by DFT (GGA-PBE).
Neutral-atom scattering factors, no anomalous dispersion.

Atomic structure:
Lattice parameters (Å, degrees): 8.9135 8.9135 8.8136 90.00 90.00 90.00
Space group I-4 (No. 82)
Asymmetric unit:
Pm  0.0573  0.1939  0.3199
Pm  0.0643  0.3185  0.9305
Rh  0.0000  0.5000  0.2500
Rh  0.1298  0.2533  0.6252
Au  0.0000  0.0000  0.0000

Most intense lines, 2θ from 15° to 90°, in order of rising 2θ:
hkl 2 0 2, 2θ = 28.48°, I = 16.2
hkl 1 3 0, 2θ = 31.77°, I = 100.0
hkl 1 0 3, 2θ = 32.08°, I = 51.2
hkl 3 2 1, 2θ = 37.84°, I = 61.3
hkl 1 2 3, 2θ = 38.05°, I = 17.5
hkl 3 4 1, 2θ = 52.36°, I = 17.2
hkl 1 4 3, 2θ = 52.56°, I = 12.9
hkl 3 1 4, 2θ = 52.73°, I = 14.0
hkl 1 6 1, 2θ = 64.48°, I = 16.2
hkl 1 7 2, 2θ = 78.98°, I = 13.3